Theoretical PXRD pattern
Compound: Cr11NiS16
Radiation: a wavelength of 1.5418 Å
Structure: a cell relaxed with GGA-PBE
No peak broadening, texture or thermal motion is included.

Top 8 peaks for 2θ from 10° to 90°, low angle first:
2theta	I (rel.)
16.83	49
29.79	54
33.74	100
34.06	69
44.01	95
44.56	80
44.66	49
52.56	84

Structure:
```
28
Lattice="6.9661 0.0000 0.0000 -0.0592 8.1525 0.0000 -0.1751 -0.5759 8.2310" Properties=species:S:1:pos:R:3 pbc="T T T"
Cr 0.0000 0.0000 0.0000
Cr -0.0674 5.5574 6.0146
Cr 1.5812 -0.2071 4.2747
Cr 1.6802 5.9511 2.0758
Cr 1.6187 3.4217 8.0504
Cr 3.2224 5.6904 6.2678
Cr 3.5094 1.8863 1.9632
Cr 5.1131 4.1549 0.1806
Cr 5.0517 1.6255 6.1552
Cr 5.1506 7.7838 3.9563
Cr 6.7993 2.0193 2.2164
Ni 3.3659 3.7883 4.1155
S 0.0176 5.7162 0.2603
S -0.0652 6.2091 3.7549
S 1.6428 0.2680 1.8117
S 1.5023 7.3072 6.5369
S 1.7163 3.5381 2.2961
S 1.6494 3.9946 5.7760
S 3.3787 5.7254 0.3494
S 3.2960 6.2286 3.8598
S 3.4358 1.3480 4.3712
S 3.3531 1.8512 7.8816
S 5.0824 3.5820 2.4550
S 5.0155 4.0386 5.9349
S 5.2295 0.2694 1.6941
S 5.0890 7.3087 6.4193
S 6.7970 1.3675 4.4761
S 6.7142 1.8604 7.9707
```